# Li6MnO2F4
Computed powder diffraction line list, Cu Kα X-rays. Input: DFT lattice parameters and positions (PBE+U).

Largest 10 diffraction maxima, most intense first, 2θ from 5° to 70°:
d/Å, intensity
5.239, 100
3.262, 48
3.374, 37
2.272, 22
2.140, 20
3.309, 19
2.214, 17
2.203, 16
1.729, 15
1.655, 8

Atomic structure:
Lattice parameters (Å, degrees): 5.4906 5.4906 11.0355 102.07 102.07 99.03
Fractional positions:
Li  0.0031  0.1981  0.1872
Li  0.1258  0.3175  0.9885
Li  0.1981  0.0031  0.6872
Li  0.3175  0.1258  0.4885
Li  0.3609  0.4322  0.8332
Li  0.4322  0.3609  0.3332
Li  0.5678  0.6391  0.6668
Li  0.6391  0.5678  0.1668
Li  0.6825  0.8742  0.5115
Li  0.8019  0.9969  0.3128
Li  0.8742  0.6825  0.0115
Li  0.9969  0.8019  0.8128
Mn  0.0000  0.5000  0.5000
Mn  0.5000  0.0000  0.0000
O  0.1112  0.2617  0.3703
O  0.2617  0.1112  0.8703
O  0.7383  0.8888  0.1297
O  0.8888  0.7383  0.6297
F  0.1624  0.6286  0.9372
F  0.2990  0.3409  0.6486
F  0.3409  0.2990  0.1486
F  0.3714  0.8376  0.5628
F  0.6286  0.1624  0.4372
F  0.6591  0.7010  0.8514
F  0.7010  0.6591  0.3514
F  0.8376  0.3714  0.0628